# 1
In2NiS4: theoretical XRD peak list (copper Kα), based on a GGA-PBE-relaxed structure.
Intensities are scaled so that the largest is 100.

Most intense lines, 10° ≤ 2θ ≤ 80°, low angle first:
3.729 Å, I 55, hkl 1 1 2
3.703 Å, I 28, hkl 2 0 0
3.219 Å, I 100, hkl 1 2 1
3.174 Å, I 74, hkl 2 1 1
3.161 Å, I 60, hkl 1 0 3
2.653 Å, I 28, hkl 2 2 0
2.051 Å, I 34, hkl 2 3 1
2.031 Å, I 31, hkl 3 2 1
2.020 Å, I 30, hkl 0 1 5
1.865 Å, I 89, hkl 2 2 4

Structure:
Lattice parameters (Å, degrees): 7.406 7.603 10.486 90.00 90.00 90.00
Space group Imma (No. 74)
Inequivalent atoms, fractional coordinates:
1 In 0.000 0.000 0.000 [4 per cell]
2 In 0.000 0.250 0.365 [4 per cell]
3 Ni 0.250 0.250 0.750 [4 per cell]
4 S 0.000 0.044 0.752 [8 per cell]
5 S 0.242 0.250 0.976 [8 per cell]

# 2
In2Ni3S2: theoretical XRD peak list (copper Kα), based on a GGA-PBE-relaxed structure.
Intensities are scaled so that the largest is 100.

Most intense lines, 10° ≤ 2θ ≤ 80°, low angle first:
4.536 Å, I 40, hkl 0 0 3
3.869 Å, I 31, hkl 0 1 2
2.757 Å, I 61, hkl 1 0 4
2.716 Å, I 67, hkl 1 1 0
2.318 Å, I 33, hkl 0 2 1
2.268 Å, I 37, hkl 0 0 6
2.223 Å, I 92, hkl 2 0 2
1.935 Å, I 100, hkl 0 2 4
1.378 Å, I 27, hkl 2 0 8
1.358 Å, I 31, hkl 2 2 0

Structure:
Lattice parameters (Å, degrees): 5.4323 5.4323 13.6066 90.00 90.00 120.00
Space group R-3m (No. 166, hexagonal axes)
Inequivalent atoms, fractional coordinates:
1 In 0.0000 0.0000 0.0000 [3 per cell]
2 In 0.0000 0.0000 0.5000 [3 per cell]
3 Ni 0.0000 0.5000 0.0000 [9 per cell]
4 S 0.0000 0.0000 0.2232 [6 per cell]

# 3
ScInNi4: theoretical XRD peak list (copper Kα), based on a GGA-PBE-relaxed structure.
Intensities are scaled so that the largest is 100.

Most intense lines, 10° ≤ 2θ ≤ 80°, low angle first:
3.987 Å, I 9, hkl 1 1 1
3.453 Å, I 8, hkl 2 0 0
2.441 Å, I 34, hkl 2 2 0
2.082 Å, I 100, hkl 3 1 1
1.993 Å, I 34, hkl 2 2 2
1.726 Å, I 2, hkl 4 0 0
1.544 Å, I 3, hkl 4 2 0
1.410 Å, I 11, hkl 4 2 2
1.329 Å, I 28, hkl 3 3 3
1.221 Å, I 22, hkl 4 4 0

Structure:
Lattice parameters (Å, degrees): 6.905 6.905 6.905 90.00 90.00 90.00
Space group F-43m (No. 216)
Inequivalent atoms, fractional coordinates:
1 Sc 0.000 0.000 0.000 [4 per cell]
2 In 0.250 0.250 0.250 [4 per cell]
3 Ni 0.125 0.125 0.625 [16 per cell]

# 4
Sm2InNi2: theoretical XRD peak list (copper Kα), based on a GGA-PBE-relaxed structure.
Intensities are scaled so that the largest is 100.

Most intense lines, 10° ≤ 2θ ≤ 80°, low angle first:
3.070 Å, I 42, hkl 1 3 0
2.675 Å, I 100, hkl 1 1 1
2.592 Å, I 72, hkl 0 4 1
2.369 Å, I 34, hkl 1 3 1
2.338 Å, I 36, hkl 1 5 0
1.994 Å, I 26, hkl 2 0 0
1.863 Å, I 21, hkl 0 0 2
1.643 Å, I 17, hkl 1 7 1
1.580 Å, I 31, hkl 2 4 1
1.247 Å, I 16, hkl 1 11 0

Structure:
Lattice parameters (Å, degrees): 3.987 14.432 3.725 90.00 90.00 90.00
Space group Cmmm (No. 65)
Inequivalent atoms, fractional coordinates:
1 Sm 0.000 0.138 0.000 [4 per cell]
2 In 0.000 0.500 0.500 [2 per cell]
3 Ni 0.000 0.300 0.500 [4 per cell]

# 5
Sm4In20Ni11: theoretical XRD peak list (copper Kα), based on a GGA-PBE-relaxed structure.
Intensities are scaled so that the largest is 100.

Most intense lines, 10° ≤ 2θ ≤ 80°, low angle first:
2.841 Å, I 35, hkl 1 1 -4
2.623 Å, I 23, hkl 3 1 -5
2.610 Å, I 33, hkl 5 1 -5
2.557 Å, I 100, hkl 5 1 1
2.544 Å, I 37, hkl 7 1 -4
2.510 Å, I 48, hkl 1 1 4
2.439 Å, I 18, hkl 7 1 -1
2.136 Å, I 24, hkl 1 1 -6
2.127 Å, I 72, hkl 0 2 0
2.061 Å, I 16, hkl 9 1 -6

Structure:
Lattice parameters (Å, degrees): 22.910 4.254 16.863 90.00 124.69 90.00
Space group C2/m (No. 12)
Inequivalent atoms, fractional coordinates:
1 Sm 0.119 0.000 0.332 [4 per cell]
2 Sm 0.228 0.000 0.826 [4 per cell]
3 In 0.010 0.000 0.094 [4 per cell]
4 In 0.039 0.500 0.377 [4 per cell]
5 In 0.064 0.000 0.791 [4 per cell]
6 In 0.103 0.500 0.991 [4 per cell]
7 In 0.110 0.500 0.689 [4 per cell]
8 In 0.112 0.000 0.550 [4 per cell]
9 In 0.129 0.500 0.197 [4 per cell]
10 In 0.202 0.000 0.003 [4 per cell]
11 In 0.203 0.500 0.502 [4 per cell]
12 In 0.246 0.000 0.291 [4 per cell]
13 Ni 0.000 0.500 0.500 [2 per cell]
14 Ni 0.005 0.500 0.191 [4 per cell]
15 Ni 0.023 0.000 0.600 [4 per cell]
16 Ni 0.134 0.000 0.102 [4 per cell]
17 Ni 0.154 0.500 0.881 [4 per cell]
18 Ni 0.249 0.500 0.385 [4 per cell]

# 6
SmIn2Ni9: theoretical XRD peak list (copper Kα), based on a GGA-PBE-relaxed structure.
Intensities are scaled so that the largest is 100.

Most intense lines, 10° ≤ 2θ ≤ 80°, low angle first:
2.617 Å, I 25, hkl 3 1 0
2.503 Å, I 22, hkl 2 2 1
2.417 Å, I 18, hkl 0 0 2
2.302 Å, I 100, hkl 3 1 1
2.087 Å, I 28, hkl 2 0 2
2.074 Å, I 38, hkl 3 2 1
2.024 Å, I 70, hkl 2 1 2
2.008 Å, I 31, hkl 4 1 0
1.852 Å, I 23, hkl 4 2 0
1.372 Å, I 18, hkl 3 1 3

Structure:
Lattice parameters (Å, degrees): 8.277 8.277 4.834 90.00 90.00 90.00
Space group P4/mbm (No. 127)
Inequivalent atoms, fractional coordinates:
1 Sm 0.000 0.000 0.000 [2 per cell]
2 In 0.124 0.376 0.000 [4 per cell]
3 Ni 0.000 0.500 0.500 [2 per cell]
4 Ni 0.064 0.207 0.500 [8 per cell]
5 Ni 0.176 0.676 0.249 [8 per cell]